# 1
This entry pairs a crystal structure of PrSb with its calculated XRD peak list. Radiation: copper Kα. Structure: a DFT-relaxed cell (GGA-PBE, the Materials Project).
Neutral-atom scattering factors, no anomalous dispersion.

Structure:
Lattice parameters (Å, degrees): 4.143 4.143 3.464 90.00 90.00 90.00
Atoms (fractional coordinates):
1 Pr 0.000 0.000 0.000
2 Sb 0.500 0.500 0.500

Most intense lines, 2θ = 5–70°, sorted by position:
2theta	I (rel.)
21.45	1
30.52	65
33.73	100
43.70	24
52.85	7
56.31	46
62.27	17
63.51	8


# 2
This entry pairs a crystal structure of PrSb with its calculated XRD peak list. Radiation: copper Kα. Structure: a DFT-relaxed cell (GGA-PBE, the Materials Project).
Neutral-atom scattering factors, no anomalous dispersion.

Structure:
Lattice parameters (Å, degrees): 6.448 6.448 6.448 90.00 90.00 90.00
Atoms (fractional coordinates):
1 Pr 0.000 0.000 0.000
2 Pr 0.000 0.500 0.500
3 Pr 0.500 0.000 0.500
4 Pr 0.500 0.500 0.000
5 Sb 0.000 0.000 0.500
6 Sb 0.000 0.500 0.000
7 Sb 0.500 0.000 0.000
8 Sb 0.500 0.500 0.500

Most intense lines, 2θ = 5–70°, sorted by position:
2theta	I (rel.)
23.90	1
27.67	100
39.53	77
46.72	1
48.93	28
57.14	13
64.64	36


# 3
This entry pairs a crystal structure of PrSbSe with its calculated XRD peak list. Radiation: copper Kα. Structure: a DFT-relaxed cell (GGA-PBE, the Materials Project).
Neutral-atom scattering factors, no anomalous dispersion.

Structure:
Lattice parameters (Å, degrees): 4.248 18.493 6.018 90.00 134.84 90.00
Atoms (fractional coordinates):
1 Pr 0.024 0.147 0.269
2 Pr 0.024 0.353 0.769
3 Pr 0.976 0.647 0.231
4 Pr 0.976 0.853 0.731
5 Sb 0.476 0.502 0.728
6 Sb 0.476 0.998 0.228
7 Sb 0.524 0.002 0.772
8 Sb 0.524 0.498 0.272
9 Se 0.024 0.186 0.766
10 Se 0.024 0.314 0.266
11 Se 0.976 0.686 0.734
12 Se 0.976 0.814 0.234

Most intense lines, 2θ = 5–70°, sorted by position:
2theta	I (rel.)
23.00	29
28.97	54
31.25	100
35.59	89
35.97	32
42.36	26
42.57	28
52.31	20


# 4
This entry pairs a crystal structure of PrSbTe with its calculated XRD peak list. Radiation: copper Kα. Structure: a DFT-relaxed cell (GGA-PBE, the Materials Project).
Neutral-atom scattering factors, no anomalous dispersion.

Structure:
Lattice parameters (Å, degrees): 4.376 4.376 9.657 90.00 90.00 90.00
Atoms (fractional coordinates):
1 Pr 0.250 0.250 0.226
2 Pr 0.750 0.750 0.774
3 Sb 0.250 0.750 0.500
4 Sb 0.750 0.250 0.500
5 Te 0.250 0.250 0.876
6 Te 0.750 0.750 0.124

Most intense lines, 2θ = 5–70°, sorted by position:
2theta	I (rel.)
27.71	43
28.86	22
30.34	100
34.43	87
34.59	62
41.27	61
50.43	33
54.91	33


# 5
This entry pairs a crystal structure of Pr3ZrSb5 with its calculated XRD peak list. Radiation: copper Kα. Structure: a DFT-relaxed cell (GGA-PBE, the Materials Project).
Neutral-atom scattering factors, no anomalous dispersion.

Structure:
Lattice parameters (Å, degrees): 9.558 9.558 6.393 90.00 90.00 120.00
Atoms (fractional coordinates):
1 Pr 0.000 0.382 0.250
2 Pr 0.000 0.618 0.750
3 Pr 0.382 0.000 0.250
4 Pr 0.382 0.382 0.750
5 Pr 0.618 0.000 0.750
6 Pr 0.618 0.618 0.250
7 Zr 0.000 0.000 0.000
8 Zr 0.000 0.000 0.500
9 Sb 0.000 0.263 0.750
10 Sb 0.000 0.737 0.250
11 Sb 0.263 0.000 0.750
12 Sb 0.263 0.263 0.250
13 Sb 0.333 0.667 0.000
14 Sb 0.333 0.667 0.500
15 Sb 0.667 0.333 0.000
16 Sb 0.667 0.333 0.500
17 Sb 0.737 0.000 0.250
18 Sb 0.737 0.737 0.750

Most intense lines, 2θ = 5–70°, sorted by position:
2theta	I (rel.)
31.85	74
32.45	84
33.73	100
41.81	18
47.51	28
51.92	18
58.71	14
67.76	20


# 6
This entry pairs a crystal structure of Pr3Sc with its calculated XRD peak list. Radiation: copper Kα. Structure: a DFT-relaxed cell (GGA-PBE, the Materials Project).
Neutral-atom scattering factors, no anomalous dispersion.

Structure:
Lattice parameters (Å, degrees): 5.128 5.128 10.258 90.00 90.00 90.00
Atoms (fractional coordinates):
1 Pr 0.000 0.000 0.000
2 Pr 0.000 0.500 0.250
3 Pr 0.000 0.500 0.750
4 Pr 0.500 0.000 0.250
5 Pr 0.500 0.000 0.750
6 Pr 0.500 0.500 0.500
7 Sc 0.000 0.000 0.500
8 Sc 0.500 0.500 0.000

Most intense lines, 2θ = 5–70°, sorted by position:
2theta	I (rel.)
17.29	4
19.35	12
30.19	100
34.99	50
40.30	4
50.33	36
59.81	42
62.77	12


# 7
This entry pairs a crystal structure of Pr3Sc with its calculated XRD peak list. Radiation: copper Kα. Structure: a DFT-relaxed cell (GGA-PBE, the Materials Project).
Neutral-atom scattering factors, no anomalous dispersion.

Structure:
Lattice parameters (Å, degrees): 7.248 7.248 5.875 90.00 90.00 120.00
Atoms (fractional coordinates):
1 Pr 0.171 0.342 0.250
2 Pr 0.171 0.829 0.250
3 Pr 0.342 0.171 0.750
4 Pr 0.658 0.829 0.250
5 Pr 0.829 0.171 0.750
6 Pr 0.829 0.658 0.750
7 Sc 0.333 0.667 0.750
8 Sc 0.667 0.333 0.250

Most intense lines, 2θ = 5–70°, sorted by position:
2theta	I (rel.)
28.44	23
30.43	26
32.34	100
42.14	16
50.36	19
55.30	21
59.99	22
61.13	16


# 8
This entry pairs a crystal structure of Pr2Se3 with its calculated XRD peak list. Radiation: copper Kα. Structure: a DFT-relaxed cell (GGA-PBE, the Materials Project).
Neutral-atom scattering factors, no anomalous dispersion.

Structure:
Lattice parameters (Å, degrees): 14.926 14.926 14.926 144.87 144.87 50.53
Atoms (fractional coordinates):
1 Pr 0.047 0.424 0.891
2 Pr 0.167 0.167 0.000
3 Pr 0.174 0.297 0.391
4 Pr 0.218 0.826 0.124
5 Pr 0.255 0.125 0.630
6 Pr 0.375 0.745 0.870
7 Pr 0.495 0.625 0.370
8 Pr 0.532 0.156 0.109
9 Pr 0.576 0.468 0.624
10 Pr 0.583 0.083 0.500
11 Pr 0.703 0.094 0.876
12 Pr 0.833 0.833 0.000
13 Pr 0.844 0.953 0.376
14 Pr 0.875 0.505 0.130
15 Pr 0.906 0.782 0.609
16 Pr 0.917 0.417 0.500
17 Se 0.006 0.107 0.247
18 Se 0.073 0.826 0.605
19 Se 0.174 0.780 0.247
20 Se 0.185 0.094 0.748
21 Se 0.187 0.597 0.752
22 Se 0.217 0.470 0.895
23 Se 0.220 0.467 0.395
24 Se 0.241 0.994 0.101
25 Se 0.347 0.437 0.252
26 Se 0.403 0.156 0.591
27 Se 0.509 0.110 0.253
28 Se 0.530 0.424 0.747
29 Se 0.533 0.927 0.753
30 Se 0.563 0.815 0.909
31 Se 0.565 0.813 0.409
32 Se 0.576 0.323 0.105
33 Se 0.677 0.783 0.253
34 Se 0.744 0.491 0.601
35 Se 0.844 0.435 0.248
36 Se 0.857 0.256 0.747
37 Se 0.860 0.759 0.753
38 Se 0.890 0.143 0.399
39 Se 0.893 0.140 0.899
40 Se 0.906 0.653 0.091

Most intense lines, 2θ = 5–70°, sorted by position:
2theta	I (rel.)
24.21	21
31.41	100
37.36	68
45.02	21
47.35	14
51.76	18
63.70	29
67.39	14


# 9
This entry pairs a crystal structure of PrTe2Se with its calculated XRD peak list. Radiation: copper Kα. Structure: a DFT-relaxed cell (GGA-PBE, the Materials Project).
Neutral-atom scattering factors, no anomalous dispersion.

Structure:
Lattice parameters (Å, degrees): 4.313 26.475 4.324 90.00 90.00 90.00
Atoms (fractional coordinates):
1 Pr 0.000 0.180 0.250
2 Pr 0.000 0.820 0.750
3 Pr 0.500 0.320 0.750
4 Pr 0.500 0.680 0.250
5 Te 0.000 0.079 0.750
6 Te 0.000 0.421 0.750
7 Te 0.000 0.579 0.250
8 Te 0.000 0.921 0.250
9 Te 0.500 0.079 0.250
10 Te 0.500 0.421 0.250
11 Te 0.500 0.579 0.750
12 Te 0.500 0.921 0.750
13 Se 0.000 0.294 0.250
14 Se 0.000 0.706 0.750
15 Se 0.500 0.206 0.750
16 Se 0.500 0.794 0.250

Most intense lines, 2θ = 5–70°, sorted by position:
2theta	I (rel.)
26.94	39
30.99	100
33.88	41
37.87	32
41.78	22
41.89	21
48.14	18
60.63	27


# 10
This entry pairs a crystal structure of Pr2USe5 with its calculated XRD peak list. Radiation: copper Kα. Structure: a DFT-relaxed cell (GGA-PBE, the Materials Project).
Neutral-atom scattering factors, no anomalous dispersion.

Structure:
Lattice parameters (Å, degrees): 12.461 8.483 7.894 90.00 90.00 90.00
Atoms (fractional coordinates):
1 Pr 0.178 0.001 0.029
2 Pr 0.178 0.499 0.029
3 Pr 0.322 0.501 0.529
4 Pr 0.322 0.999 0.529
5 Pr 0.678 0.001 0.471
6 Pr 0.678 0.499 0.471
7 Pr 0.822 0.501 0.971
8 Pr 0.822 0.999 0.971
9 U 0.009 0.750 0.574
10 U 0.491 0.250 0.074
11 U 0.509 0.750 0.926
12 U 0.991 0.250 0.426
13 Se 0.000 0.250 0.043
14 Se 0.000 0.750 0.957
15 Se 0.092 0.045 0.667
16 Se 0.092 0.455 0.667
17 Se 0.186 0.750 0.333
18 Se 0.216 0.250 0.307
19 Se 0.284 0.750 0.807
20 Se 0.314 0.250 0.833
21 Se 0.408 0.545 0.167
22 Se 0.408 0.955 0.167
23 Se 0.500 0.250 0.457
24 Se 0.500 0.750 0.543
25 Se 0.592 0.045 0.833
26 Se 0.592 0.455 0.833
27 Se 0.686 0.750 0.167
28 Se 0.716 0.250 0.193
29 Se 0.784 0.750 0.693
30 Se 0.814 0.250 0.667
31 Se 0.908 0.545 0.333
32 Se 0.908 0.955 0.333

Most intense lines, 2θ = 5–70°, sorted by position:
2theta	I (rel.)
24.21	57
24.88	44
25.40	41
34.21	100
35.76	63
42.64	48
43.64	58
49.59	53


Which formula does entry 10 have?
Pr2USe5